Entry 1:
Ba4TlS5: computed XRD peak list (Cu Ka), based on a cell relaxed with GGA-PBE.
Neutral-atom scattering factors, no anomalous dispersion.

Main lines, in order of rising 2θ (10 to 90 degrees two-theta):
2θ/deg	I (rel.)
24.1	73
27.9	100
39.9	74
47.2	39
49.4	26
63.4	16
65.3	33
72.4	24

a b c (Å): 7.8280 7.8280 7.8280
angles (deg): 99.58 99.58 131.84
Sites, in units of the cell vectors:
Ba 0.1022 0.2989 0.4011
Ba 0.2989 0.8978 0.1967
Ba 0.7011 0.1022 0.8033
Ba 0.8978 0.7011 0.5989
Tl 0.5257 0.5257 0.0000
S 0.2002 0.5980 0.8000
S 0.4002 0.2002 0.6021
S 0.5980 0.7980 0.3979
S 0.7980 0.4002 0.2000
S 0.9662 0.9662 0.0000



Entry 2:
Ba3TlS5: computed XRD peak list (Cu Ka), based on a cell relaxed with GGA-PBE.
Neutral-atom scattering factors, no anomalous dispersion.

Main lines, in order of rising 2θ (10 to 90 degrees two-theta):
2θ/deg	I (rel.)
24.0	35
24.2	100
29.7	57
29.8	30
32.1	27
38.6	40
44.5	26
48.0	28

a b c (Å): 9.5410 9.5410 9.5410
angles (deg): 127.25 127.25 77.85
Sites, in units of the cell vectors:
Ba 0.1557 0.6557 0.8113
Ba 0.2500 0.2500 0.0000
Ba 0.3443 0.1557 0.5000
Ba 0.6557 0.8443 0.5000
Ba 0.7500 0.7500 0.0000
Ba 0.8443 0.3443 0.1887
Tl 0.2500 0.7500 0.5000
Tl 0.7500 0.2500 0.5000
S 0.0000 0.0000 0.0000
S 0.0198 0.1987 0.5000
S 0.1987 0.6987 0.1788
S 0.3013 0.4802 0.5000
S 0.4802 0.9802 0.1788
S 0.5000 0.5000 0.0000
S 0.5198 0.0198 0.8212
S 0.6987 0.5198 0.5000
S 0.8013 0.3013 0.8212
S 0.9802 0.8013 0.5000



Entry 3:
Ba2TmTlS5: computed XRD peak list (Cu Ka), based on a cell relaxed with GGA-PBE.
Neutral-atom scattering factors, no anomalous dispersion.

Main lines, in order of rising 2θ (10 to 90 degrees two-theta):
2θ/deg	I (rel.)
22.7	54
23.8	34
26.0	100
26.9	50
30.1	73
30.2	83
35.5	42
43.7	42

a b c (Å): 9.3915 9.3915 13.0185
angles (deg): 90.00 90.00 154.50
Sites, in units of the cell vectors:
Ba 0.1185 0.8815 0.5000
Ba 0.1369 0.8631 0.1285
Ba 0.8631 0.1369 0.6285
Ba 0.8815 0.1185 0.0000
Tm 0.2121 0.7879 0.8337
Tm 0.7879 0.2121 0.3337
Tl 0.4543 0.5457 0.2612
Tl 0.5457 0.4543 0.7612
S 0.0556 0.9444 0.8766
S 0.2899 0.7101 0.4685
S 0.3123 0.6877 0.1924
S 0.3540 0.6460 0.8182
S 0.4941 0.5059 0.5860
S 0.5059 0.4941 0.0860
S 0.6460 0.3540 0.3182
S 0.6877 0.3123 0.6924
S 0.7101 0.2899 0.9685
S 0.9444 0.0556 0.3766



Entry 4:
BaTm2S4: computed XRD peak list (Cu Ka), based on a cell relaxed with GGA-PBE.
Neutral-atom scattering factors, no anomalous dispersion.

Main lines, in order of rising 2θ (10 to 90 degrees two-theta):
2θ/deg	I (rel.)
24.7	45
25.1	100
26.5	73
26.6	36
29.9	29
36.6	50
36.9	28
52.4	28

a b c (Å): 12.2528 4.0072 14.4307
angles (deg): 90.00 90.00 90.00
Sites, in units of the cell vectors:
Ba 0.2416 0.2500 0.1624
Ba 0.2584 0.7500 0.6624
Ba 0.7416 0.2500 0.3376
Ba 0.7584 0.7500 0.8376
Tm 0.0655 0.2500 0.3914
Tm 0.0787 0.2500 0.8988
Tm 0.4213 0.7500 0.3988
Tm 0.4345 0.7500 0.8914
Tm 0.5655 0.2500 0.1086
Tm 0.5787 0.2500 0.6012
Tm 0.9213 0.7500 0.1012
Tm 0.9345 0.7500 0.6086
S 0.0233 0.7500 0.7832
S 0.0809 0.2500 0.5762
S 0.1221 0.7500 0.0230
S 0.2066 0.7500 0.3406
S 0.2934 0.2500 0.8406
S 0.3779 0.2500 0.5230
S 0.4191 0.7500 0.0762
S 0.4767 0.2500 0.2832
S 0.5233 0.7500 0.7168
S 0.5809 0.2500 0.9238
S 0.6221 0.7500 0.4770
S 0.7066 0.7500 0.1594
S 0.7934 0.2500 0.6594
S 0.8779 0.2500 0.9770
S 0.9191 0.7500 0.4238
S 0.9767 0.2500 0.2168



Entry 5:
BaYTm4S8: computed XRD peak list (Cu Ka), based on a cell relaxed with GGA-PBE.
Neutral-atom scattering factors, no anomalous dispersion.

Main lines, in order of rising 2θ (10 to 90 degrees two-theta):
2θ/deg	I (rel.)
21.7	35
25.6	100
25.7	58
31.0	29
40.6	50
40.7	20
44.3	45
44.5	45

a b c (Å): 8.1855 8.1855 8.1855
angles (deg): 59.65 59.65 59.65
Sites, in units of the cell vectors:
Ba 0.0000 0.0000 0.0000
Y 0.6283 0.6283 0.6283
Tm 0.1208 0.6280 0.6280
Tm 0.2514 0.2514 0.2514
Tm 0.6280 0.1208 0.6280
Tm 0.6280 0.6280 0.1208
S 0.3810 0.3810 0.8563
S 0.3810 0.8563 0.3810
S 0.3835 0.3835 0.3835
S 0.4311 0.8605 0.8605
S 0.8563 0.3810 0.3810
S 0.8571 0.8571 0.8571
S 0.8605 0.4311 0.8605
S 0.8605 0.8605 0.4311



Entry 6:
Ba2US5: computed XRD peak list (Cu Ka), based on a cell relaxed with GGA-PBE.
Neutral-atom scattering factors, no anomalous dispersion.

Main lines, in order of rising 2θ (10 to 90 degrees two-theta):
2θ/deg	I (rel.)
11.5	55
17.3	94
22.6	100
23.8	55
26.1	58
30.3	46
38.9	64
40.3	50

a b c (Å): 8.1639 8.1639 13.7577
angles (deg): 90.00 90.00 141.06
Sites, in units of the cell vectors:
Ba 0.1470 0.8530 0.5724
Ba 0.1470 0.8530 0.9276
Ba 0.8530 0.1470 0.0724
Ba 0.8530 0.1470 0.4276
U 0.1673 0.8327 0.2500
U 0.8327 0.1673 0.7500
S 0.0505 0.9495 0.1262
S 0.0505 0.9495 0.3738
S 0.2774 0.7226 0.1102
S 0.2774 0.7226 0.3898
S 0.3089 0.6911 0.7500
S 0.6911 0.3089 0.2500
S 0.7226 0.2774 0.6102
S 0.7226 0.2774 0.8898
S 0.9495 0.0505 0.6262
S 0.9495 0.0505 0.8738